Record 1
Starting from a structure optimized by DFT (PBE), the X-ray powder pattern of NdU2Ir9 was computed for Cu Kα (λ = 1.5418 Å).
Neutral-atom scattering factors, no anomalous dispersion.

Top 8 peaks for 10 to 90 degrees two-theta, low angle first:
- 33.8 deg, intensity 27
- 39.4 deg, intensity 31
- 39.7 deg, intensity 100
- 41.2 deg, intensity 23
- 42.6 deg, intensity 23
- 42.9 deg, intensity 42
- 64.4 deg, intensity 25
- 71.0 deg, intensity 28

Crystal structure
```
data_NdU2Ir9
_chemical_formula_sum 'Nd3 U6 Ir27'
_cell_length_a 5.3081
_cell_length_b 5.3081
_cell_length_c 26.3127
_cell_angle_alpha 90.00
_cell_angle_beta 90.00
_cell_angle_gamma 120.00
_space_group_name_H-M_alt 'R -3 m'
_space_group_IT_number 166
_space_group_name_Hall '-R 3 2"'
loop_
_atom_site_label
_atom_site_type_symbol
_atom_site_fract_x
_atom_site_fract_y
_atom_site_fract_z
Nd1 Nd 0.0000 0.0000 0.0000
U1 U 0.0000 0.0000 0.1404
Ir1 Ir 0.0000 0.0000 0.3332
Ir2 Ir 0.0000 0.0000 0.5000
Ir3 Ir 0.0029 0.5015 0.9162
```

Record 2
Starting from a structure optimized by DFT (PBE), the X-ray powder pattern of BiAsPbO5 was computed for Cu Kα (λ = 1.5418 Å).
Neutral-atom scattering factors, no anomalous dispersion.

Top 8 peaks for 10 to 90 degrees two-theta, low angle first:
- 26.7 deg, intensity 100
- 29.5 deg, intensity 70
- 31.2 deg, intensity 21
- 31.9 deg, intensity 32
- 34.7 deg, intensity 17
- 45.2 deg, intensity 25
- 47.8 deg, intensity 19
- 56.0 deg, intensity 17

Crystal structure
```
data_BiAsPbO5
_chemical_formula_sum 'Bi4 As4 Pb4 O20'
_cell_length_a 13.3840
_cell_length_b 5.6186
_cell_length_c 7.2271
_cell_angle_alpha 90.00
_cell_angle_beta 111.68
_cell_angle_gamma 90.00
_space_group_name_H-M_alt 'C 1 2/m 1'
_space_group_IT_number 12
_space_group_name_Hall '-C 2y'
loop_
_atom_site_label
_atom_site_type_symbol
_atom_site_fract_x
_atom_site_fract_y
_atom_site_fract_z
Bi1 Bi 0.0134 0.0000 0.2513
As1 As 0.1636 0.5000 0.6486
Pb1 Pb 0.1616 0.5000 0.1205
O1 O 0.0000 0.2358 0.0000
O2 O 0.0886 0.5000 0.3983
O3 O 0.1410 0.2518 0.7707
O4 O 0.2000 0.0000 0.3033
```

Record 3
Starting from a structure optimized by DFT (PBE), the X-ray powder pattern of CrFe4H2 was computed for Cu Kα (λ = 1.5418 Å).
Neutral-atom scattering factors, no anomalous dispersion.

Top 8 peaks for 10 to 90 degrees two-theta, low angle first:
- 42.9 deg, intensity 100
- 49.8 deg, intensity 16
- 50.0 deg, intensity 32
- 73.3 deg, intensity 9
- 73.4 deg, intensity 13
- 88.6 deg, intensity 5
- 88.8 deg, intensity 10
- 88.9 deg, intensity 10

Crystal structure
```
data_CrFe4H2
_chemical_formula_sum 'Cr2 Fe8 H4'
_cell_length_a 4.4690
_cell_length_b 5.1675
_cell_length_c 5.7691
_cell_angle_alpha 102.80
_cell_angle_beta 97.34
_cell_angle_gamma 106.70
_space_group_name_H-M_alt 'P 1'
_space_group_IT_number 1
_space_group_name_Hall 'P 1'
loop_
_atom_site_label
_atom_site_type_symbol
_atom_site_fract_x
_atom_site_fract_y
_atom_site_fract_z
Cr1 Cr 0.0000 0.0000 0.0000
Cr2 Cr 0.2157 0.8923 0.4309
Fe1 Fe 0.0148 0.5060 0.0177
Fe2 Fe 0.2120 0.3988 0.4132
Fe3 Fe 0.4231 0.3010 0.8179
Fe4 Fe 0.4253 0.8083 0.8121
Fe5 Fe 0.6233 0.2024 0.2108
Fe6 Fe 0.6400 0.7149 0.2245
Fe7 Fe 0.8223 0.0983 0.6188
Fe8 Fe 0.8237 0.6127 0.6167
H1 H 0.1204 0.4535 0.7165
H2 H 0.3305 0.8530 0.1136
H3 H 0.3336 0.3719 0.1257
H4 H 0.5315 0.2641 0.5151
```

Record 4
Starting from a structure optimized by DFT (PBE), the X-ray powder pattern of Er3Pt2Rh was computed for Cu Kα (λ = 1.5418 Å).
Neutral-atom scattering factors, no anomalous dispersion.

Top 8 peaks for 10 to 90 degrees two-theta, low angle first:
- 36.9 deg, intensity 51
- 37.0 deg, intensity 100
- 53.1 deg, intensity 18
- 53.6 deg, intensity 9
- 66.5 deg, intensity 36
- 66.8 deg, intensity 18
- 78.8 deg, intensity 11
- 89.9 deg, intensity 8

Crystal structure
```
data_Er3Pt2Rh
_chemical_formula_sum 'Er12 Pt8 Rh4'
_cell_length_a 4.8783
_cell_length_b 14.6335
_cell_length_c 6.8405
_cell_angle_alpha 90.00
_cell_angle_beta 90.00
_cell_angle_gamma 90.00
_space_group_name_H-M_alt 'C m m m'
_space_group_IT_number 65
_space_group_name_Hall '-C 2 2'
loop_
_atom_site_label
_atom_site_type_symbol
_atom_site_fract_x
_atom_site_fract_y
_atom_site_fract_z
Er1 Er 0.0000 0.0000 0.2479
Er2 Er 0.0000 0.3320 0.2474
Pt1 Pt 0.0000 0.1653 0.5000
Pt2 Pt 0.0000 0.5000 0.0000
Pt3 Pt 0.0000 0.5000 0.5000
Rh1 Rh 0.0000 0.1689 0.0000
```

Record 5
Starting from a structure optimized by DFT (PBE), the X-ray powder pattern of Ca8Zn4Si3Ge5O28 was computed for Cu Kα (λ = 1.5418 Å).
Neutral-atom scattering factors, no anomalous dispersion.

Top 8 peaks for 10 to 90 degrees two-theta, low angle first:
- 17.3 deg, intensity 100
- 28.2 deg, intensity 64
- 29.5 deg, intensity 56
- 30.2 deg, intensity 75
- 30.3 deg, intensity 79
- 31.5 deg, intensity 55
- 35.1 deg, intensity 69
- 35.3 deg, intensity 71

Crystal structure
```
data_Ca8Zn4Si3Ge5O28
_chemical_formula_sum 'Ca8 Zn4 Si3 Ge5 O28'
_cell_length_a 8.0748
_cell_length_b 9.1312
_cell_length_c 9.5124
_cell_angle_alpha 66.56
_cell_angle_beta 89.89
_cell_angle_gamma 89.99
_space_group_name_H-M_alt 'P 1'
_space_group_IT_number 1
_space_group_name_Hall 'P 1'
loop_
_atom_site_label
_atom_site_type_symbol
_atom_site_fract_x
_atom_site_fract_y
_atom_site_fract_z
Ca1 Ca 0.0000 0.0000 0.0000
Ca2 Ca 0.0669 0.4985 0.5018
Ca3 Ca 0.1971 0.7485 0.7369
Ca4 Ca 0.3712 0.3470 0.3230
Ca5 Ca 0.4986 0.5879 0.5632
Ca6 Ca 0.5689 0.0938 0.0599
Ca7 Ca 0.6982 0.8390 0.8325
Ca8 Ca 0.8734 0.2492 0.2384
Zn1 Zn 0.1901 0.3763 0.9188
Zn2 Zn 0.3785 0.7160 0.1465
Zn3 Zn 0.6919 0.2156 0.6476
Zn4 Zn 0.8819 0.8746 0.4163
Si1 Si 0.0103 0.0725 0.6144
Si2 Si 0.0581 0.5737 0.1144
Si3 Si 0.5097 0.5175 0.9498
Ge1 Ge 0.2406 0.9184 0.3243
Ge2 Ge 0.3252 0.1733 0.7381
Ge3 Ge 0.5569 0.0176 0.4535
Ge4 Ge 0.7423 0.6728 0.2387
Ge5 Ge 0.8266 0.4189 0.8269
O1 O 0.0044 0.2409 0.4671
O2 O 0.0223 0.5044 0.7558
O3 O 0.0453 0.0011 0.2510
O4 O 0.0636 0.7406 0.9651
O5 O 0.1034 0.4062 0.0964
O6 O 0.1844 0.5755 0.2511
O7 O 0.2024 0.0312 0.6914
O8 O 0.2191 0.1765 0.8998
O9 O 0.2398 0.7344 0.4852
O10 O 0.3265 0.3574 0.5778
O11 O 0.3496 0.0661 0.3729
O12 O 0.3545 0.9154 0.1664
O13 O 0.3830 0.5180 0.8126
O14 O 0.4655 0.6835 0.9709
O15 O 0.5025 0.3490 0.0971
O16 O 0.5211 0.0870 0.8068
O17 O 0.5461 0.5881 0.3085
O18 O 0.5603 0.8371 0.6119
O19 O 0.6082 0.2028 0.4613
O20 O 0.6926 0.0175 0.3057
O21 O 0.7039 0.5583 0.8771
O22 O 0.7183 0.4152 0.6670
O23 O 0.7405 0.8564 0.0776
O24 O 0.8299 0.2341 0.9862
O25 O 0.8489 0.6743 0.4004
O26 O 0.8651 0.5321 0.1900
O27 O 0.8822 0.0710 0.7517
O28 O 0.9665 0.9064 0.5932
```

Record 6
Starting from a structure optimized by DFT (PBE), the X-ray powder pattern of LiTaNbAg2O6 was computed for Cu Kα (λ = 1.5418 Å).
Neutral-atom scattering factors, no anomalous dispersion.

Top 8 peaks for 10 to 90 degrees two-theta, low angle first:
- 10.9 deg, intensity 37
- 30.9 deg, intensity 30
- 31.0 deg, intensity 34
- 31.1 deg, intensity 100
- 40.0 deg, intensity 25
- 44.3 deg, intensity 35
- 55.0 deg, intensity 15
- 55.2 deg, intensity 20

Crystal structure
```
data_LiTaNbAg2O6
_chemical_formula_sum 'Li2 Ta2 Nb2 Ag4 O12'
_cell_length_a 8.1002
_cell_length_b 5.7743
_cell_length_c 5.7947
_cell_angle_alpha 90.00
_cell_angle_beta 90.00
_cell_angle_gamma 90.00
_space_group_name_H-M_alt 'A m m 2'
_space_group_IT_number 38
_space_group_name_Hall 'A 2 -2'
loop_
_atom_site_label
_atom_site_type_symbol
_atom_site_fract_x
_atom_site_fract_y
_atom_site_fract_z
Li1 Li 0.0000 0.0000 0.0000
Ta1 Ta 0.5000 0.0000 0.4209
Nb1 Nb 0.0000 0.0000 0.4882
Ag1 Ag 0.3023 0.0000 0.9094
O1 O 0.0000 0.2454 0.7380
O2 O 0.2537 0.0000 0.4606
O3 O 0.5000 0.2400 0.1760
```

Record 7
Starting from a structure optimized by DFT (PBE), the X-ray powder pattern of Th8HOs3Se4 was computed for Cu Kα (λ = 1.5418 Å).
Neutral-atom scattering factors, no anomalous dispersion.

Top 8 peaks for 10 to 90 degrees two-theta, low angle first:
- 12.1 deg, intensity 14
- 26.5 deg, intensity 16
- 30.1 deg, intensity 100
- 41.6 deg, intensity 36
- 44.5 deg, intensity 37
- 54.7 deg, intensity 19
- 68.9 deg, intensity 13
- 73.0 deg, intensity 16

Crystal structure
```
data_Th8HOs3Se4
_chemical_formula_sum 'Th24 H3 Os9 Se12'
_cell_length_a 8.1444
_cell_length_b 8.1444
_cell_length_c 22.0074
_cell_angle_alpha 90.00
_cell_angle_beta 90.00
_cell_angle_gamma 120.00
_space_group_name_H-M_alt 'R -3 m'
_space_group_IT_number 166
_space_group_name_Hall '-R 3 2"'
loop_
_atom_site_label
_atom_site_type_symbol
_atom_site_fract_x
_atom_site_fract_y
_atom_site_fract_z
Th1 Th 0.0000 0.0000 0.2387
Th2 Th 0.0044 0.5022 0.7602
H1 H 0.0000 0.0000 0.5000
Os1 Os 0.0000 0.5000 0.5000
Se1 Se 0.0000 0.0000 0.0000
Se2 Se 0.0000 0.5000 0.0000
```